The following is a theoretical X-ray diffraction stick pattern of RbZnHg2F8. It was derived from a crystal structure in Alexandria, relaxed with GGA-PBE, using Cu Kα (λ = 1.5418 Å).
Neutral-atom scattering factors, no anomalous dispersion.

Peak list (6 most intense, 15° ≤ 2θ ≤ 90°, in order of rising 2θ)
hkl  2θ/deg  intensity
1 0 0  17.4  35
1 1 0  23.6  100
1 -1 0  24.9  83
0 1 2  27.5  63
1 0 2  28.8  46
0 1 -2  29.9  40

Crystal structure
```
12
Lattice="5.0984 0.0000 0.0000 0.3061 5.3211 0.0000 0.2002 0.6761 7.6843" Properties=species:S:1:pos:R:3 pbc="T T T"
Rb 0.0000 0.0000 0.0000
Zn 0.1001 0.3380 3.8421
Hg 2.6300 2.7722 2.0673
Hg 2.9747 3.2250 5.6170
F 1.1254 4.4336 2.4867
F 1.2182 4.6361 5.3552
F 1.7853 1.7087 3.7145
F 2.4337 2.1433 7.3334
F 3.1710 3.8538 0.3509
F 3.8193 4.2884 3.9698
F 4.3865 1.3611 2.3291
F 4.4792 1.5635 5.1976
```